Diffraction record for Tl2AgHg5. The powder diffraction line list is simulated, not measured: it uses a structure optimized by DFT (GGA-PBE) and CuKα.
No peak broadening, texture or thermal motion is included.

Main lines, in order of rising 2θ (10° ≤ 2θ ≤ 90°):
hkl 0 2 -1, 2θ = 31.9°, rel. 100.0; hkl 1 -1 2, 2θ = 32.7°, rel. 94.1; hkl 2 0 -1, 2θ = 33.0°, rel. 80.3; hkl -1 1 2, 2θ = 33.7°, rel. 69.4; hkl 1 1 1, 2θ = 35.4°, rel. 76.9; hkl 2 -2 0, 2θ = 38.3°, rel. 50.4; hkl 1 1 -3, 2θ = 40.5°, rel. 43.5; hkl 3 -1 1, 2θ = 53.2°, rel. 21.4; hkl 2 2 -2, 2θ = 53.8°, rel. 20.1; hkl 3 1 0, 2θ = 61.6°, rel. 20.5

Atomic structure:
a = 5.735 Å, b = 5.917 Å, c = 7.078 Å
α = 104.24°, β = 100.72°, γ = 107.68°
Positions (direct):
Tl 0.000 0.000 0.000
Tl 0.198 0.263 0.520
Ag 0.079 0.616 0.256
Hg 0.365 0.873 0.718
Hg 0.447 0.555 0.029
Hg 0.600 0.144 0.258
Hg 0.738 0.731 0.492
Hg 0.816 0.387 0.795

=====

Diffraction record for Tl4AgHg15. The powder diffraction line list is simulated, not measured: it uses a structure optimized by DFT (GGA-PBE) and CuKα.
No peak broadening, texture or thermal motion is included.

Main lines, in order of rising 2θ (10° ≤ 2θ ≤ 90°):
hkl 1 1 4, 2θ = 31.5°, rel. 83.6; hkl 2 0 -2, 2θ = 34.7°, rel. 100.0; hkl 0 0 10, 2θ = 34.9°, rel. 26.9; hkl 0 2 0, 2θ = 44.8°, rel. 17.5; hkl 2 0 8, 2θ = 45.4°, rel. 12.2; hkl 2 2 -2, 2θ = 57.9°, rel. 15.8; hkl 0 2 10, 2θ = 58.1°, rel. 12.7; hkl 3 1 2, 2θ = 58.2°, rel. 13.6; hkl 1 1 14, 2θ = 58.5°, rel. 9.2; hkl 3 1 -8, 2θ = 64.2°, rel. 11.2

Atomic structure:
a = 5.240 Å, b = 4.043 Å, c = 25.691 Å
α = 90.00°, β = 91.78°, γ = 90.00°
Positions (direct):
Tl 0.115 0.000 0.104
Tl 0.327 0.000 0.314
Tl 0.673 0.000 0.686
Tl 0.885 0.000 0.896
Ag 0.500 0.000 0.500
Hg 0.000 0.500 0.000
Hg 0.000 0.500 0.500
Hg 0.121 0.000 0.594
Hg 0.174 0.500 0.695
Hg 0.227 0.500 0.207
Hg 0.279 0.000 0.794
Hg 0.386 0.500 0.897
Hg 0.403 0.500 0.415
Hg 0.500 0.000 0.000
Hg 0.597 0.500 0.585
Hg 0.614 0.500 0.103
Hg 0.721 0.000 0.206
Hg 0.773 0.500 0.793
Hg 0.826 0.500 0.305
Hg 0.879 0.000 0.406

=====

Diffraction record for TlAgHg2. The powder diffraction line list is simulated, not measured: it uses a structure optimized by DFT (GGA-PBE) and CuKα.
No peak broadening, texture or thermal motion is included.

Main lines, in order of rising 2θ (10° ≤ 2θ ≤ 90°):
hkl 0 1 1, 2θ = 28.0°, rel. 31.9; hkl 0 2 -1, 2θ = 32.1°, rel. 100.0; hkl -1 1 1, 2θ = 32.7°, rel. 83.6; hkl 0 0 2, 2θ = 33.7°, rel. 70.8; hkl 1 -1 1, 2θ = 35.8°, rel. 74.1; hkl 1 1 0, 2θ = 36.6°, rel. 72.3; hkl 1 1 -2, 2θ = 37.8°, rel. 58.5; hkl 0 2 1, 2θ = 43.9°, rel. 33.5; hkl 0 2 -3, 2θ = 50.5°, rel. 23.5; hkl 2 0 -1, 2θ = 55.5°, rel. 20.4

Atomic structure:
a = 3.337 Å, b = 5.667 Å, c = 5.932 Å
α = 108.67°, β = 105.60°, γ = 96.85°
Positions (direct):
Tl 0.000 0.000 0.000
Ag 0.500 0.500 0.000
Hg 0.249 0.723 0.451
Hg 0.751 0.277 0.549

=====

Number 3 is which compound?
TlAgHg2

=====

What is the formula in the third record?
TlAgHg2